Simulated PXRD pattern
Compound: CsTl2AuCl8
Radiation: CuKα
Structure: a PBE-relaxed structure
Peak positions follow from Bragg's law for the DFT cell and can differ from measured ones.

Structural model:
```
CsTl2AuCl8
1.0
3.351 1.935 10.346
-3.351 1.935 10.346
0.000 -3.869 10.346
Cs Tl Au Cl
1 2 1 8
Direct
0.000 0.000 0.000
0.247 0.247 0.247
0.753 0.753 0.753
0.500 0.500 0.500
0.136 0.423 0.767
0.233 0.577 0.864
0.327 0.327 0.327
0.423 0.767 0.136
0.577 0.864 0.233
0.673 0.673 0.673
0.767 0.136 0.423
0.864 0.233 0.577
```

The 6 most intense peaks (2θ from 10° to 90°), in order of falling intensity:
2theta, I/Imax
19.1, 100.0
26.6, 49.7
27.7, 37.4
44.2, 32.6
33.0, 29.4
42.8, 26.9